1.
This entry pairs a crystal structure of Na2Sr5Rh with its simulated powder XRD pattern. Radiation: Cu Kα (λ = 1.5418 Å). Structure: a cell relaxed with GGA-PBE.
Peak positions follow from Bragg's law for the DFT cell and can differ from measured ones.

Cell and atoms:
Cell lengths 10.616, 8.272, 16.732 Å; angles 90.00, 90.00, 90.00 degrees
Space group Pnma (No. 62)
Symmetry-distinct sites (fractional):
Na: 0.046 0.250 0.197 [4 per cell]
Na: 0.207 0.750 0.412 [4 per cell]
Sr: 0.000 0.000 0.000 [4 per cell]
Sr: 0.056 0.750 0.208 [4 per cell]
Sr: 0.143 0.003 0.607 [8 per cell]
Sr: 0.214 0.250 0.390 [4 per cell]
Rh: 0.183 0.750 0.054 [4 per cell]

Peak list (10 most intense, 2θ = 15–90°, low angle first)
- (1 2 2), 25.45°, intensity 30.0
- (2 0 4), 27.14°, intensity 26.9
- (3 0 2), 27.36°, intensity 25.8
- (1 0 5), 27.91°, intensity 100.0
- (1 2 3), 28.14°, intensity 30.1
- (2 2 2), 29.39°, intensity 50.0
- (2 2 3), 31.78°, intensity 32.5
- (3 2 1), 33.76°, intensity 30.5
- (1 2 6), 39.90°, intensity 37.9
- (4 2 3), 43.65°, intensity 26.5

2.
This entry pairs a crystal structure of Er3UO8 with its simulated powder XRD pattern. Radiation: Cu Kα (λ = 1.5418 Å). Structure: a cell relaxed with GGA-PBE.
Peak positions follow from Bragg's law for the DFT cell and can differ from measured ones.

Cell and atoms:
Cell lengths 5.319, 5.319, 5.319 Å; angles 90.00, 90.00, 90.00 degrees
Space group Pm-3m (No. 221)
Symmetry-distinct sites (fractional):
Er: 0.000 0.000 0.500 [3 per cell]
U: 0.500 0.500 0.500 [1 per cell]
O: 0.259 0.259 0.259 [8 per cell]

Peak list (10 most intense, 2θ = 15–90°, low angle first)
- (1 0 0), 16.67°, intensity 2.4
- (1 1 0), 23.66°, intensity 1.7
- (1 1 1), 29.08°, intensity 100.0
- (2 0 0), 33.70°, intensity 33.9
- (2 2 0), 48.40°, intensity 50.5
- (3 1 1), 57.46°, intensity 45.3
- (2 2 2), 60.28°, intensity 9.7
- (4 0 0), 70.87°, intensity 7.8
- (3 3 1), 78.36°, intensity 18.8
- (4 2 0), 80.81°, intensity 13.5